[1]
# TlNi7
Calculated powder diffractogram, Cu Ka. Input: a crystal structure in OQMD, relaxed with PBE.

Structure:
abc: 2.6928 2.6928 36.4692
angles: 90.00 90.00 90.00
Positions (direct):
Tl: 0.2500 0.2500 0.1642
Tl: 0.7500 0.7500 0.8358
Ni: 0.2500 0.2500 0.2679
Ni: 0.2500 0.2500 0.3524
Ni: 0.2500 0.2500 0.4369
Ni: 0.2500 0.2500 0.5210
Ni: 0.2500 0.2500 0.6052
Ni: 0.2500 0.2500 0.6899
Ni: 0.2500 0.2500 0.7741
Ni: 0.7500 0.7500 0.2259
Ni: 0.7500 0.7500 0.3101
Ni: 0.7500 0.7500 0.3948
Ni: 0.7500 0.7500 0.4790
Ni: 0.7500 0.7500 0.5631
Ni: 0.7500 0.7500 0.6476
Ni: 0.7500 0.7500 0.7321

Largest 10 diffraction maxima, sorted by position, 10° ≤ 2θ ≤ 90°:
2θ 14.6, rel. 37, (0 0 6)
2θ 33.6, rel. 22, (1 0 2)
2θ 35.5, rel. 27, (1 0 5)
2θ 38.8, rel. 33, (1 0 8)
2θ 41.7, rel. 19, (1 0 10)
2θ 43.3, rel. 100, (1 0 11)
2θ 45.0, rel. 67, (1 0 12)
2θ 47.8, rel. 76, (1 1 0)
2θ 69.9, rel. 23, (2 0 0)
2θ 85.9, rel. 26, (2 1 11)


[2]
# ReNi2Sn5
Calculated powder diffractogram, Cu Ka. Input: a crystal structure in OQMD, relaxed with PBE.

Structure:
abc: 4.8763 6.3336 10.1039
angles: 90.00 90.00 90.00
Positions (direct):
Re: 0.0000 0.0000 0.0000
Re: 0.0000 0.5000 0.5000
Ni: 0.0000 0.0000 0.4514
Ni: 0.0000 0.5000 0.9514
Ni: 0.5000 0.0000 0.7873
Ni: 0.5000 0.5000 0.2873
Sn: 0.0000 0.2308 0.7492
Sn: 0.0000 0.2692 0.2492
Sn: 0.0000 0.7308 0.2492
Sn: 0.0000 0.7692 0.7492
Sn: 0.5000 0.0000 0.3187
Sn: 0.5000 0.2388 0.0529
Sn: 0.5000 0.2612 0.5529
Sn: 0.5000 0.5000 0.8187
Sn: 0.5000 0.7388 0.5529
Sn: 0.5000 0.7612 0.0529

Largest 10 diffraction maxima, sorted by position, 10° ≤ 2θ ≤ 90°:
2θ 24.7, rel. 10, (1 1 1)
2θ 33.4, rel. 12, (0 2 2)
2θ 35.5, rel. 17, (0 0 4)
2θ 36.9, rel. 34, (2 0 0)
2θ 38.3, rel. 100, (1 2 2)
2θ 40.2, rel. 23, (1 0 4)
2θ 52.1, rel. 12, (2 0 4)
2θ 67.4, rel. 20, (3 2 2)
2θ 71.0, rel. 9, (2 4 0)
2θ 74.8, rel. 11, (2 2 6)


[3]
# Zr4TlHgC2
Calculated powder diffractogram, Cu Ka. Input: a crystal structure in OQMD, relaxed with PBE.

Structure:
abc: 3.3741 3.3741 15.0490
angles: 90.00 90.00 120.00
Positions (direct):
Zr: 0.0000 0.0000 0.1665
Zr: 0.0000 0.0000 0.8335
Zr: 0.3333 0.6667 0.3317
Zr: 0.3333 0.6667 0.6683
Tl: 0.0000 0.0000 0.5000
Hg: 0.3333 0.6667 0.0000
C: 0.6667 0.3333 0.2503
C: 0.6667 0.3333 0.7497

Largest 10 diffraction maxima, sorted by position, 10° ≤ 2θ ≤ 90°:
2θ 11.8, rel. 15, (0 0 2)
2θ 30.6, rel. 22, (1 0 0)
2θ 31.2, rel. 11, (1 0 1)
2θ 35.6, rel. 100, (1 0 3)
2θ 35.8, rel. 21, (0 0 6)
2θ 47.8, rel. 16, (1 0 6)
2θ 54.4, rel. 20, (1 1 0)
2θ 64.2, rel. 18, (1 0 9)
2θ 66.7, rel. 16, (2 0 3)
2θ 66.8, rel. 20, (1 1 6)